[1]
This entry pairs a crystal structure of LiAlGa14 with its theoretical powder XRD pattern. Radiation: Cu Kα. Structure: a crystal structure in Alexandria, relaxed with PBE.

Cell and atoms:
Unit cell a=6.123 b=6.123 c=7.838 alpha=90.00 beta=90.00 gamma=95.74
Fractional coordinates of all 16 atoms:
Li  0.000  0.000  0.000
Al  0.500  0.500  0.000
Ga  0.000  0.000  0.500
Ga  0.000  0.500  0.000
Ga  0.000  0.500  0.500
Ga  0.246  0.754  0.247
Ga  0.246  0.754  0.753
Ga  0.252  0.252  0.245
Ga  0.252  0.252  0.755
Ga  0.500  0.000  0.000
Ga  0.500  0.000  0.500
Ga  0.500  0.500  0.500
Ga  0.748  0.748  0.245
Ga  0.748  0.748  0.755
Ga  0.754  0.246  0.247
Ga  0.754  0.246  0.753

Largest 10 diffraction maxima, in order of rising 2θ, 2θ = 15–90°:
| 2theta | intensity |
| --- | --- |
| 37.39 | 1000 |
| 39.70 | 211 |
| 44.10 | 156 |
| 46.33 | 134 |
| 60.82 | 119 |
| 62.62 | 106 |
| 70.53 | 145 |
| 76.66 | 114 |
| 79.75 | 103 |
| 79.90 | 101 |

---

[2]
This entry pairs a crystal structure of In2Ni21P6 with its theoretical powder XRD pattern. Radiation: Cu Kα. Structure: a crystal structure in Alexandria, relaxed with PBE.

Cell and atoms:
Unit cell a=7.862 b=7.862 c=7.862 alpha=60.00 beta=60.00 gamma=60.00
Fractional coordinates of all 29 atoms:
In  0.250  0.250  0.250
In  0.750  0.750  0.750
Ni  0.000  0.000  0.000
Ni  0.000  0.000  0.348
Ni  0.000  0.000  0.652
Ni  0.000  0.348  0.000
Ni  0.000  0.348  0.652
Ni  0.000  0.652  0.000
Ni  0.000  0.652  0.348
Ni  0.155  0.615  0.615
Ni  0.348  0.000  0.000
Ni  0.348  0.000  0.652
Ni  0.348  0.652  0.000
Ni  0.385  0.385  0.385
Ni  0.385  0.385  0.845
Ni  0.385  0.845  0.385
Ni  0.615  0.155  0.615
Ni  0.615  0.615  0.155
Ni  0.615  0.615  0.615
Ni  0.652  0.000  0.000
Ni  0.652  0.000  0.348
Ni  0.652  0.348  0.000
Ni  0.845  0.385  0.385
P  0.262  0.262  0.738
P  0.262  0.738  0.262
P  0.262  0.738  0.738
P  0.738  0.262  0.262
P  0.738  0.262  0.738
P  0.738  0.738  0.262

Largest 10 diffraction maxima, in order of rising 2θ, 2θ = 15–90°:
| 2theta | intensity |
| --- | --- |
| 36.13 | 354 |
| 39.72 | 363 |
| 42.24 | 1000 |
| 46.19 | 442 |
| 48.44 | 291 |
| 54.77 | 233 |
| 69.75 | 98 |
| 72.08 | 281 |
| 73.81 | 116 |
| 85.59 | 229 |

---

[3]
This entry pairs a crystal structure of Pm5Bi4Se with its theoretical powder XRD pattern. Radiation: Cu Kα. Structure: a crystal structure in Alexandria, relaxed with PBE.

Cell and atoms:
Unit cell a=7.807 b=7.807 c=7.807 alpha=99.66 beta=99.66 gamma=131.63
Fractional coordinates of all 10 atoms:
Pm  0.000  0.000  0.000
Pm  0.210  0.401  0.611
Pm  0.401  0.790  0.191
Pm  0.599  0.210  0.809
Pm  0.790  0.599  0.389
Bi  0.096  0.698  0.794
Bi  0.302  0.096  0.397
Bi  0.698  0.904  0.603
Bi  0.904  0.302  0.206
Se  0.500  0.500  0.000

Largest 10 diffraction maxima, in order of rising 2θ, 2θ = 15–90°:
| 2theta | intensity |
| --- | --- |
| 27.90 | 431 |
| 28.02 | 857 |
| 39.98 | 1000 |
| 49.50 | 359 |
| 57.91 | 110 |
| 65.30 | 161 |
| 65.51 | 305 |
| 72.50 | 117 |
| 72.67 | 226 |
| 86.20 | 76 |

---

[4]
This entry pairs a crystal structure of Ho4Tl2Cd3 with its theoretical powder XRD pattern. Radiation: Cu Kα. Structure: a crystal structure in Alexandria, relaxed with PBE.

Cell and atoms:
Unit cell a=5.166 b=5.166 c=10.225 alpha=90.00 beta=90.00 gamma=120.00
Fractional coordinates of all 9 atoms:
Ho  0.000  0.000  0.171
Ho  0.000  0.000  0.829
Ho  0.333  0.667  0.618
Ho  0.667  0.333  0.382
Tl  0.333  0.667  0.295
Tl  0.667  0.333  0.705
Cd  0.000  0.000  0.500
Cd  0.333  0.667  0.968
Cd  0.667  0.333  0.032

Largest 10 diffraction maxima, in order of rising 2θ, 2θ = 15–90°:
| 2theta | intensity |
| --- | --- |
| 33.04 | 1000 |
| 34.73 | 914 |
| 48.69 | 337 |
| 57.91 | 175 |
| 61.18 | 339 |
| 62.25 | 168 |
| 69.32 | 102 |
| 73.29 | 104 |
| 79.92 | 138 |
| 82.77 | 145 |

---

[5]
This entry pairs a crystal structure of Cs6InS4 with its theoretical powder XRD pattern. Radiation: Cu Kα. Structure: a crystal structure in Alexandria, relaxed with PBE.

Cell and atoms:
Unit cell a=11.176 b=11.176 c=8.453 alpha=90.00 beta=90.00 gamma=120.00
Fractional coordinates of all 22 atoms:
Cs  0.064  0.532  0.000
Cs  0.139  0.277  0.682
Cs  0.139  0.861  0.682
Cs  0.277  0.139  0.182
Cs  0.468  0.532  0.000
Cs  0.468  0.936  0.000
Cs  0.532  0.064  0.500
Cs  0.532  0.468  0.500
Cs  0.723  0.861  0.682
Cs  0.861  0.139  0.182
Cs  0.861  0.723  0.182
Cs  0.936  0.468  0.500
In  0.333  0.667  0.394
In  0.667  0.333  0.894
S  0.208  0.416  0.297
S  0.208  0.792  0.297
S  0.333  0.667  0.698
S  0.416  0.208  0.797
S  0.584  0.792  0.297
S  0.667  0.333  0.198
S  0.792  0.208  0.797
S  0.792  0.584  0.797

Largest 10 diffraction maxima, in order of rising 2θ, 2θ = 15–90°:
| 2theta | intensity |
| --- | --- |
| 21.15 | 414 |
| 22.96 | 407 |
| 24.33 | 201 |
| 26.55 | 1000 |
| 28.03 | 748 |
| 29.64 | 362 |
| 32.03 | 511 |
| 42.60 | 217 |
| 46.18 | 328 |
| 48.22 | 301 |

---

[6]
This entry pairs a crystal structure of Mn5AlCo6 with its theoretical powder XRD pattern. Radiation: Cu Kα. Structure: a crystal structure in Alexandria, relaxed with PBE.

Cell and atoms:
Unit cell a=6.379 b=6.379 c=5.700 alpha=90.00 beta=90.00 gamma=143.16
Fractional coordinates of all 12 atoms:
Mn  0.000  0.000  0.000
Mn  0.333  0.667  0.000
Mn  0.336  0.664  0.500
Mn  0.664  0.336  0.500
Mn  0.667  0.333  0.000
Al  0.000  0.000  0.500
Co  0.169  0.831  0.248
Co  0.169  0.831  0.752
Co  0.500  0.500  0.243
Co  0.500  0.500  0.757
Co  0.831  0.169  0.248
Co  0.831  0.169  0.752

Largest 5 diffraction maxima, in order of rising 2θ, 2θ = 15–90°:
| 2theta | intensity |
| --- | --- |
| 15.55 | 8 |
| 31.38 | 13 |
| 44.96 | 1000 |
| 65.48 | 147 |
| 82.96 | 286 |